Computed powder diffractogram
Compound: Pm5Sm4Y
Radiation: Cu Kα (λ = 1.5418 Å)
Structure: a structure optimized by DFT (GGA-PBE)
Neutral-atom scattering factors, no anomalous dispersion.

The 6 most intense peaks (15° ≤ 2θ ≤ 90°), low angle first:
hkl, two_theta, d_spacing, I/Imax
3 1 0, 27.2, 3.282, 25.4
6 0 -2, 30.3, 2.954, 100.0
10 0 0, 31.4, 2.851, 41.9
7 1 0, 33.8, 2.653, 32.7
1 1 2, 37.1, 2.421, 35.4
6 2 -2, 61.6, 1.504, 26.8

Structure:
```
data_Pm5Sm4Y
_chemical_formula_sum 'Pm10 Sm8 Y2'
_symmetry_space_group_name_H-M 'C 1 2/m 1'
_symmetry_Int_Tables_number 12
_cell_length_a 28.7177
_cell_length_b 3.4966
_cell_length_c 6.9058
_cell_angle_alpha 90.00
_cell_angle_beta 96.94
_cell_angle_gamma 90.00
loop_
_symmetry_equiv_pos_as_xyz
'x,y,z'
'-x,-y,-z'
'-x,y,-z'
'x,-y,z'
'x+1/2,y+1/2,z'
'-x+1/2,-y+1/2,-z'
'-x+1/2,y+1/2,-z'
'x+1/2,-y+1/2,z'
loop_
_atom_site_label
_atom_site_fract_x
_atom_site_fract_y
_atom_site_fract_z
_atom_site_occupancy
Pm1 0.0000 0.0000 0.0000 1
Pm2 0.2012 0.5000 0.1006 1
Pm3 0.2061 0.5000 0.6049 1
Sm1 0.0939 0.5000 0.7986 1
Sm2 0.1074 0.0000 0.3101 1
Y1 0.0000 0.0000 0.5000 1
```


Computed powder diffractogram
Compound: CoOs2Ru
Radiation: Cu Kα (λ = 1.5418 Å)
Structure: a structure optimized by DFT (GGA-PBE)
Neutral-atom scattering factors, no anomalous dispersion.

The 6 most intense peaks (15° ≤ 2θ ≤ 90°), low angle first:
hkl, two_theta, d_spacing, I/Imax
0 0 2, 18.0, 4.916, 28.6
1 1 1, 41.3, 2.187, 100.0
1 0 4, 43.0, 2.106, 77.0
0 1 3, 43.6, 2.077, 43.2
2 0 0, 44.4, 2.041, 39.4
2 1 3, 64.0, 1.456, 27.9

Structure:
```
data_CoOs2Ru
_chemical_formula_sum 'Co2 Os4 Ru2'
_symmetry_space_group_name_H-M 'A m m 2'
_symmetry_Int_Tables_number 38
_cell_length_a 4.0819
_cell_length_b 2.6850
_cell_length_c 9.8318
_cell_angle_alpha 90.00
_cell_angle_beta 90.00
_cell_angle_gamma 90.00
loop_
_symmetry_equiv_pos_as_xyz
'x,y,z'
'-x,-y,z'
'-x,y,z'
'x,-y,z'
'x,y+1/2,z+1/2'
'-x,-y+1/2,z+1/2'
'-x,y+1/2,z+1/2'
'x,-y+1/2,z+1/2'
loop_
_atom_site_label
_atom_site_fract_x
_atom_site_fract_y
_atom_site_fract_z
_atom_site_occupancy
Co1 0.0000 0.0000 0.0000 1
Os1 0.0000 0.0000 0.7463 1
Os2 0.5000 0.0000 0.1388 1
Ru1 0.5000 0.0000 0.4079 1
```


Computed powder diffractogram
Compound: ErAl3Cu2
Radiation: Cu Kα (λ = 1.5418 Å)
Structure: a structure optimized by DFT (GGA-PBE)
Neutral-atom scattering factors, no anomalous dispersion.

The 6 most intense peaks (15° ≤ 2θ ≤ 90°), low angle first:
hkl, two_theta, d_spacing, I/Imax
1 1 1, 22.2, 4.002, 57.6
0 2 1, 27.9, 3.198, 33.2
2 2 1, 33.8, 2.656, 60.0
1 3 0, 34.8, 2.579, 100.0
4 0 0, 37.8, 2.383, 26.7
2 0 2, 39.1, 2.306, 54.0

Structure:
```
data_ErAl3Cu2
_chemical_formula_sum 'Er4 Al12 Cu8'
_symmetry_space_group_name_H-M 'C m c m'
_symmetry_Int_Tables_number 63
_symmetry_space_group_name_Hall '-C 2c 2'
_cell_length_a 9.5309
_cell_length_b 8.0462
_cell_length_c 5.2713
_cell_angle_alpha 90.00
_cell_angle_beta 90.00
_cell_angle_gamma 90.00
loop_
_atom_site_label
_atom_site_fract_x
_atom_site_fract_y
_atom_site_fract_z
_atom_site_occupancy
Er1 0.0000 0.1518 0.2500 1
Al1 0.0000 0.4672 0.7500 1
Al2 0.1725 0.2196 0.7500 1
Cu1 0.2213 0.5000 0.0000 1
```


Computed powder diffractogram
Compound: Rb2Cd5Ag
Radiation: Cu Kα (λ = 1.5418 Å)
Structure: a structure optimized by DFT (GGA-PBE)
Neutral-atom scattering factors, no anomalous dispersion.

The 6 most intense peaks (15° ≤ 2θ ≤ 90°), low angle first:
hkl, two_theta, d_spacing, I/Imax
1 3 2, 28.0, 3.189, 100.0
1 5 0, 29.7, 3.010, 96.2
1 1 3, 30.9, 2.896, 75.5
2 0 0, 33.8, 2.652, 89.0
0 6 2, 34.0, 2.639, 71.8
2 6 2, 48.7, 1.871, 48.8

Structure:
```
data_Rb2Cd5Ag
_chemical_formula_sum 'Rb8 Cd20 Ag4'
_symmetry_space_group_name_H-M 'C m c m'
_symmetry_Int_Tables_number 63
_symmetry_space_group_name_Hall '-C 2c 2'
_cell_length_a 5.3047
_cell_length_b 18.2786
_cell_length_c 10.5591
_cell_angle_alpha 90.00
_cell_angle_beta 90.00
_cell_angle_gamma 90.00
loop_
_atom_site_label
_atom_site_fract_x
_atom_site_fract_y
_atom_site_fract_z
_atom_site_occupancy
Rb1 0.0000 0.0000 0.0000 1
Rb2 0.0000 0.1953 0.2500 1
Cd1 0.0000 0.1889 0.6106 1
Cd2 0.0000 0.3475 0.5180 1
Cd3 0.0000 0.4052 0.2500 1
Ag1 0.0000 0.4361 0.7500 1
```


Computed powder diffractogram
Compound: ThCF
Radiation: Cu Kα (λ = 1.5418 Å)
Structure: a structure optimized by DFT (GGA-PBE)
Neutral-atom scattering factors, no anomalous dispersion.

The 6 most intense peaks (15° ≤ 2θ ≤ 90°), low angle first:
hkl, two_theta, d_spacing, I/Imax
1 1 0, 26.0, 3.432, 67.5
0 4 0, 26.5, 3.365, 41.8
0 2 1, 28.3, 3.153, 100.0
1 1 1, 36.3, 2.474, 36.3
1 3 1, 41.1, 2.195, 75.4
1 5 0, 42.1, 2.145, 34.1

Structure:
```
data_ThCF
_chemical_formula_sum 'Th4 C4 F4'
_symmetry_space_group_name_H-M 'C m c m'
_symmetry_Int_Tables_number 63
_symmetry_space_group_name_Hall '-C 2c 2'
_cell_length_a 3.5493
_cell_length_b 13.4610
_cell_length_c 3.5688
_cell_angle_alpha 90.00
_cell_angle_beta 90.00
_cell_angle_gamma 90.00
loop_
_atom_site_label
_atom_site_fract_x
_atom_site_fract_y
_atom_site_fract_z
_atom_site_occupancy
Th1 0.0000 0.1119 0.2500 1
C1 0.0000 0.4717 0.2500 1
F1 0.0000 0.2465 0.7500 1
```


Computed powder diffractogram
Compound: LiTi4O8
Radiation: Cu Kα (λ = 1.5418 Å)
Structure: a structure optimized by DFT (GGA-PBE)
Neutral-atom scattering factors, no anomalous dispersion.

The 6 most intense peaks (15° ≤ 2θ ≤ 90°), low angle first:
hkl, two_theta, d_spacing, I/Imax
1 1 0, 24.3, 3.661, 100.0
0 0 2, 28.2, 3.165, 51.9
4 0 -1, 29.3, 3.053, 52.5
0 0 3, 42.9, 2.110, 41.4
6 0 -1, 43.7, 2.070, 36.8
0 2 0, 47.2, 1.924, 42.6

Structure:
```
data_LiTi4O8
_chemical_formula_sum 'Li2 Ti8 O16'
_symmetry_space_group_name_H-M 'C 1 m 1'
_symmetry_Int_Tables_number 8
_cell_length_a 12.4232
_cell_length_b 3.8479
_cell_length_c 6.6142
_cell_angle_alpha 90.00
_cell_angle_beta 106.84
_cell_angle_gamma 90.00
loop_
_symmetry_equiv_pos_as_xyz
'x,y,z'
'x,-y,z'
'x+1/2,y+1/2,z'
'x+1/2,-y+1/2,z'
loop_
_atom_site_label
_atom_site_fract_x
_atom_site_fract_y
_atom_site_fract_z
_atom_site_occupancy
Li1 0.0000 0.0000 0.0000 1
Ti1 0.0804 0.5000 0.3057 1
Ti2 0.2768 0.5000 0.7075 1
Ti3 0.3758 0.5000 0.2934 1
Ti4 0.4761 0.0000 0.7010 1
O1 0.0363 0.5000 0.0015 1
O2 0.0450 0.0000 0.3052 1
O3 0.1210 0.5000 0.6439 1
O4 0.2383 0.5000 0.3698 1
O5 0.3121 0.0000 0.6980 1
O6 0.3297 0.5000 0.0109 1
O7 0.4170 0.0000 0.3580 1
O8 0.4463 0.5000 0.6786 1
```


Computed powder diffractogram
Compound: CaCeAg
Radiation: Cu Kα (λ = 1.5418 Å)
Structure: a structure optimized by DFT (GGA-PBE)
Neutral-atom scattering factors, no anomalous dispersion.

The 6 most intense peaks (15° ≤ 2θ ≤ 90°), low angle first:
hkl, two_theta, d_spacing, I/Imax
0 2 1, 19.5, 4.550, 23.0
0 6 0, 30.5, 2.928, 26.8
0 0 2, 33.7, 2.659, 28.2
1 3 1, 34.2, 2.620, 100.0
0 6 2, 46.1, 1.969, 16.6
1 3 3, 60.6, 1.528, 18.1

Structure:
```
data_CaCeAg
_chemical_formula_sum 'Ca4 Ce4 Ag4'
_symmetry_space_group_name_H-M 'C m c m'
_symmetry_Int_Tables_number 63
_symmetry_space_group_name_Hall '-C 2c 2'
_cell_length_a 3.5089
_cell_length_b 17.5689
_cell_length_c 5.3184
_cell_angle_alpha 90.00
_cell_angle_beta 90.00
_cell_angle_gamma 90.00
loop_
_atom_site_label
_atom_site_fract_x
_atom_site_fract_y
_atom_site_fract_z
_atom_site_occupancy
Ca1 0.0000 0.0756 0.2500 1
Ce1 0.0000 0.2293 0.7500 1
Ag1 0.0000 0.4207 0.2500 1
```


Computed powder diffractogram
Compound: TbSmPb
Radiation: Cu Kα (λ = 1.5418 Å)
Structure: a structure optimized by DFT (GGA-PBE)
Neutral-atom scattering factors, no anomalous dispersion.

The 6 most intense peaks (15° ≤ 2θ ≤ 90°), low angle first:
hkl, two_theta, d_spacing, I/Imax
1 1 1, 29.2, 3.056, 74.0
0 0 3, 30.7, 2.911, 36.0
1 1 2, 34.3, 2.614, 100.0
2 0 0, 39.0, 2.307, 56.9
2 0 3, 50.5, 1.808, 36.4
2 2 0, 56.4, 1.632, 30.0

Structure:
```
data_TbSmPb
_chemical_formula_sum 'Tb2 Sm2 Pb2'
_symmetry_space_group_name_H-M 'P 4/n m m'
_symmetry_Int_Tables_number 129
_cell_length_a 4.6141
_cell_length_b 4.6141
_cell_length_c 8.7335
_cell_angle_alpha 90.00
_cell_angle_beta 90.00
_cell_angle_gamma 90.00
loop_
_symmetry_equiv_pos_as_xyz
'x,y,z'
'-x,-y,-z'
'-y+1/2,x,z'
'y+1/2,-x,-z'
'-x+1/2,-y+1/2,z'
'x+1/2,y+1/2,-z'
'y,-x+1/2,z'
'-y,x+1/2,-z'
'x+1/2,-y,-z'
'-x+1/2,y,z'
'-y,-x,-z'
'y,x,z'
'-x,y+1/2,-z'
'x,-y+1/2,z'
'y+1/2,x+1/2,-z'
'-y+1/2,-x+1/2,z'
loop_
_atom_site_label
_atom_site_fract_x
_atom_site_fract_y
_atom_site_fract_z
_atom_site_occupancy
Tb1 0.2500 0.7500 0.0000 1
Sm1 0.2500 0.2500 0.3443 1
Pb1 0.2500 0.2500 0.7187 1
```


Computed powder diffractogram
Compound: K2Cd15Sn2
Radiation: Cu Kα (λ = 1.5418 Å)
Structure: a structure optimized by DFT (GGA-PBE)
Neutral-atom scattering factors, no anomalous dispersion.

The 6 most intense peaks (15° ≤ 2θ ≤ 90°), low angle first:
hkl, two_theta, d_spacing, I/Imax
1 1 0, 16.6, 5.331, 29.1
2 2 0, 33.6, 2.666, 45.0
0 3 3, 34.3, 2.614, 74.5
0 0 6, 36.3, 2.474, 25.8
2 2 3, 38.4, 2.347, 100.0
1 1 6, 40.2, 2.244, 29.1

Structure:
```
data_K2Cd15Sn2
_chemical_formula_sum 'K6 Cd45 Sn6'
_symmetry_space_group_name_H-M 'R -3 m'
_symmetry_Int_Tables_number 166
_symmetry_space_group_name_Hall '-R 3 2"'
_cell_length_a 10.6626
_cell_length_b 10.6626
_cell_length_c 14.8447
_cell_angle_alpha 90.00
_cell_angle_beta 90.00
_cell_angle_gamma 120.00
loop_
_atom_site_label
_atom_site_fract_x
_atom_site_fract_y
_atom_site_fract_z
_atom_site_occupancy
K1 0.0000 0.0000 0.1599 1
Cd1 0.0000 0.3055 0.5000 1
Cd2 0.0000 0.5000 0.0000 1
Cd3 0.0126 0.5063 0.6518 1
Sn1 0.0000 0.0000 0.3987 1
```